(1)
The following is a simulated XRD peak list of MnNiAs4. It was derived from a structure optimized by DFT (PBE), using λ = 1.5418 Å (Cu Kα).

Crystal structure
```
data_MnNiAs4
_symmetry_space_group_name_H-M 'P 1 21/c 1'
_symmetry_Int_Tables_number 14
_cell_length_a 5.9361
_cell_length_b 5.9011
_cell_length_c 5.9057
_cell_angle_alpha 90.00
_cell_angle_beta 90.38
_cell_angle_gamma 90.00
loop_
_symmetry_equiv_pos_as_xyz
'x,y,z'
'-x,-y,-z'
'-x,y+1/2,-z+1/2'
'x,-y+1/2,z+1/2'
loop_
_atom_site_label
_atom_site_type_symbol
_atom_site_fract_x
_atom_site_fract_y
_atom_site_fract_z
_atom_site_occupancy
Mn1 Mn 0.0000 0.0000 0.0000 1
Ni1 Ni 0.5000 0.0000 0.5000 1
As1 As 0.1292 0.1163 0.3841 1
As2 As 0.3843 0.6247 0.3740 1
```

Most intense lines, 2θ = 15–90°, by angle:
33.81 deg, intensity 98, (2 1 0); 33.98 deg, intensity 100, (1 0 2); 37.14 deg, intensity 58, (1 1 -2); 37.28 deg, intensity 80, (1 2 1); 51.19 deg, intensity 52, (3 1 1); 51.32 deg, intensity 43, (1 3 -1); 56.13 deg, intensity 44, (2 3 0); 58.39 deg, intensity 38, (1 3 -2)

***

(2)
The following is a simulated XRD peak list of Tb4SmEr4. It was derived from a structure optimized by DFT (PBE), using λ = 1.5418 Å (Cu Kα).

Crystal structure
```
data_Tb4SmEr4
_symmetry_space_group_name_H-M 'I 4/m m m'
_symmetry_Int_Tables_number 139
_symmetry_space_group_name_Hall '-I 4 2'
_cell_length_a 10.6384
_cell_length_b 10.6384
_cell_length_c 4.9969
_cell_angle_alpha 90.00
_cell_angle_beta 90.00
_cell_angle_gamma 90.00
loop_
_atom_site_label
_atom_site_type_symbol
_atom_site_fract_x
_atom_site_fract_y
_atom_site_fract_z
_atom_site_occupancy
Tb1 Tb 0.0000 0.3330 0.0000 1
Sm1 Sm 0.0000 0.0000 0.0000 1
Er1 Er 0.1670 0.1670 0.5000 1
```

Most intense lines, 2θ = 15–90°, by angle:
30.92 deg, intensity 100, (3 0 1); 35.81 deg, intensity 34, (3 3 0); 35.94 deg, intensity 17, (0 0 2); 51.54 deg, intensity 12, (6 0 0); 51.64 deg, intensity 24, (3 3 2); 61.33 deg, intensity 29, (6 3 1); 61.51 deg, intensity 14, (3 0 3); 64.44 deg, intensity 12, (6 0 2)

***

(3)
The following is a simulated XRD peak list of Si5C. It was derived from a structure optimized by DFT (PBE), using λ = 1.5418 Å (Cu Kα).

Crystal structure
```
data_Si5C
_symmetry_space_group_name_H-M 'P -6 2 m'
_symmetry_Int_Tables_number 189
_symmetry_space_group_name_Hall 'P -6 -2'
_cell_length_a 5.8063
_cell_length_b 5.8063
_cell_length_c 2.7703
_cell_angle_alpha 90.00
_cell_angle_beta 90.00
_cell_angle_gamma 120.00
loop_
_atom_site_label
_atom_site_type_symbol
_atom_site_fract_x
_atom_site_fract_y
_atom_site_fract_z
_atom_site_occupancy
Si1 Si 0.0000 0.7330 0.0000 1
Si2 Si 0.3333 0.6667 0.5000 1
C1 C 0.0000 0.0000 0.5000 1
```

Most intense lines, 2θ = 15–90°, by angle:
30.80 deg, intensity 57, (1 1 0); 35.71 deg, intensity 15, (2 0 0); 37.05 deg, intensity 21, (1 0 1); 45.24 deg, intensity 100, (1 1 1); 47.86 deg, intensity 25, (2 1 0); 54.77 deg, intensity 25, (3 0 0); 58.93 deg, intensity 16, (2 1 1); 73.68 deg, intensity 16, (2 2 1)

***

(4)
The following is a simulated XRD peak list of Hg4AsIBr. It was derived from a structure optimized by DFT (PBE), using λ = 1.5418 Å (Cu Kα).

Crystal structure
```
data_Hg4AsIBr
_symmetry_space_group_name_H-M 'P 1 21/m 1'
_symmetry_Int_Tables_number 11
_cell_length_a 7.4156
_cell_length_b 7.1885
_cell_length_c 8.5763
_cell_angle_alpha 90.00
_cell_angle_beta 95.17
_cell_angle_gamma 90.00
loop_
_symmetry_equiv_pos_as_xyz
'x,y,z'
'-x,-y,-z'
'-x,y+1/2,-z'
'x,-y+1/2,z'
loop_
_atom_site_label
_atom_site_type_symbol
_atom_site_fract_x
_atom_site_fract_y
_atom_site_fract_z
_atom_site_occupancy
Hg1 Hg 0.0537 0.0563 0.3278 1
Hg2 Hg 0.2813 0.2500 0.0894 1
Hg3 Hg 0.3825 0.2500 0.6528 1
As1 As 0.0956 0.2500 0.7939 1
I1 I 0.3297 0.7500 0.0211 1
Br1 Br 0.3686 0.7500 0.5392 1
```

Most intense lines, 2θ = 15–90°, by angle:
17.21 deg, intensity 55, (1 1 0); 25.01 deg, intensity 62, (1 0 2); 27.16 deg, intensity 67, (2 0 1); 27.60 deg, intensity 84, (1 2 0); 27.96 deg, intensity 62, (1 1 2); 30.54 deg, intensity 100, (2 0 -2); 43.17 deg, intensity 44, (1 2 3); 44.92 deg, intensity 37, (1 1 -4)

***

(5)
The following is a simulated XRD peak list of Cd7Pd12Pt. It was derived from a structure optimized by DFT (PBE), using λ = 1.5418 Å (Cu Kα).

Crystal structure
```
data_Cd7Pd12Pt
_symmetry_space_group_name_H-M 'R -3'
_symmetry_Int_Tables_number 148
_symmetry_space_group_name_Hall '-R 3'
_cell_length_a 10.2383
_cell_length_b 10.2383
_cell_length_c 11.8621
_cell_angle_alpha 90.00
_cell_angle_beta 90.00
_cell_angle_gamma 120.00
loop_
_atom_site_label
_atom_site_type_symbol
_atom_site_fract_x
_atom_site_fract_y
_atom_site_fract_z
_atom_site_occupancy
Cd1 Cd 0.0000 0.0000 0.0000 1
Cd2 Cd 0.0269 0.1913 0.3041 1
Pd1 Pd 0.0299 0.4556 0.1984 1
Pd2 Pd 0.0660 0.5976 0.5869 1
Pt1 Pt 0.0000 0.0000 0.5000 1
```

Most intense lines, 2θ = 15–90°, by angle:
37.34 deg, intensity 100, (4 -3 1); 38.01 deg, intensity 25, (0 3 3); 39.31 deg, intensity 30, (0 1 5); 39.68 deg, intensity 50, (3 1 2); 40.62 deg, intensity 69, (3 -1 4); 43.25 deg, intensity 21, (2 0 5); 47.24 deg, intensity 19, (2 3 2); 67.74 deg, intensity 23, (1 4 6)

***

(6)
The following is a simulated XRD peak list of ZnHg4Au. It was derived from a structure optimized by DFT (PBE), using λ = 1.5418 Å (Cu Kα).

Crystal structure
```
data_ZnHg4Au
_symmetry_space_group_name_H-M 'F -4 3 m'
_symmetry_Int_Tables_number 216
_symmetry_space_group_name_Hall 'F -4 2 3'
_cell_length_a 8.4202
_cell_length_b 8.4202
_cell_length_c 8.4202
_cell_angle_alpha 90.00
_cell_angle_beta 90.00
_cell_angle_gamma 90.00
loop_
_atom_site_label
_atom_site_type_symbol
_atom_site_fract_x
_atom_site_fract_y
_atom_site_fract_z
_atom_site_occupancy
Zn1 Zn 0.0000 0.0000 0.0000 1
Hg1 Hg 0.1247 0.1247 0.3753 1
Au1 Au 0.2500 0.2500 0.7500 1
```

Most intense lines, 2θ = 15–90°, by angle:
18.25 deg, intensity 24, (1 1 1); 30.02 deg, intensity 16, (2 2 0); 35.35 deg, intensity 100, (3 1 1); 36.98 deg, intensity 54, (2 2 2); 56.82 deg, intensity 35, (3 3 3); 62.39 deg, intensity 31, (4 4 0); 74.79 deg, intensity 22, (6 2 2); 89.38 deg, intensity 24, (7 3 1)

***

(7)
The following is a simulated XRD peak list of LiNdCd5. It was derived from a structure optimized by DFT (PBE), using λ = 1.5418 Å (Cu Kα).

Crystal structure
```
data_LiNdCd5
_symmetry_space_group_name_H-M 'C m m m'
_symmetry_Int_Tables_number 65
_symmetry_space_group_name_Hall '-C 2 2'
_cell_length_a 5.9542
_cell_length_b 8.8854
_cell_length_c 6.8107
_cell_angle_alpha 90.00
_cell_angle_beta 90.00
_cell_angle_gamma 90.00
loop_
_atom_site_label
_atom_site_type_symbol
_atom_site_fract_x
_atom_site_fract_y
_atom_site_fract_z
_atom_site_occupancy
Li1 Li 0.0000 0.0000 0.0000 1
Nd1 Nd 0.0000 0.5000 0.5000 1
Cd1 Cd 0.0000 0.5000 0.0000 1
Cd2 Cd 0.2500 0.2500 0.2345 1
```

Most intense lines, 2θ = 15–90°, by angle:
17.93 deg, intensity 57, (1 1 0); 31.91 deg, intensity 28, (1 1 2); 33.15 deg, intensity 100, (0 2 2); 36.33 deg, intensity 80, (2 2 0); 40.24 deg, intensity 58, (2 0 2); 40.61 deg, intensity 29, (0 4 0); 58.50 deg, intensity 37, (2 4 2); 66.69 deg, intensity 24, (2 2 4)

***

(8)
The following is a simulated XRD peak list of NbHgTe2O8. It was derived from a structure optimized by DFT (PBE), using λ = 1.5418 Å (Cu Kα).

Crystal structure
```
data_NbHgTe2O8
_symmetry_space_group_name_H-M 'C 1 2/m 1'
_symmetry_Int_Tables_number 12
_cell_length_a 12.0393
_cell_length_b 5.6893
_cell_length_c 5.5096
_cell_angle_alpha 90.00
_cell_angle_beta 116.01
_cell_angle_gamma 90.00
loop_
_symmetry_equiv_pos_as_xyz
'x,y,z'
'-x,-y,-z'
'-x,y,-z'
'x,-y,z'
'x+1/2,y+1/2,z'
'-x+1/2,-y+1/2,-z'
'-x+1/2,y+1/2,-z'
'x+1/2,-y+1/2,z'
loop_
_atom_site_label
_atom_site_type_symbol
_atom_site_fract_x
_atom_site_fract_y
_atom_site_fract_z
_atom_site_occupancy
Nb1 Nb 0.0000 0.0000 0.0000 1
Hg1 Hg 0.0000 0.5000 0.5000 1
Te1 Te 0.2278 0.5000 0.2225 1
O1 O 0.0877 0.0000 0.7816 1
O2 O 0.1166 0.2567 0.2485 1
O3 O 0.1746 0.5000 0.8424 1
```

Most intense lines, 2θ = 15–90°, by angle:
27.72 deg, intensity 100, (1 1 1); 28.14 deg, intensity 93, (3 1 -1); 31.45 deg, intensity 39, (0 2 0); 32.51 deg, intensity 30, (2 0 -2); 33.12 deg, intensity 19, (4 0 0); 45.86 deg, intensity 24, (2 2 -2); 46.32 deg, intensity 26, (4 2 0); 55.64 deg, intensity 31, (5 1 -3)